This entry pairs a crystal structure of V2AgP3O11 with its computed powder diffractogram. Radiation: Cu Kα (λ = 1.5418 Å). Structure: a PBE+U-relaxed structure.
Neutral-atom scattering factors, no anomalous dispersion.

The 8 most intense peaks (10 to 90 degrees two-theta), by angle:
| Position (°2θ) | intensity | h k l |
| --- | --- | --- |
| 20.4 | 20.2 | 0 2 0 |
| 24.8 | 51.9 | 3 1 -1 |
| 26.4 | 41.7 | 2 2 0 |
| 27.4 | 20.7 | 3 1 -2 |
| 30.2 | 100.0 | 0 2 2 |
| 33.0 | 20.5 | 3 1 1 |
| 33.8 | 42.0 | 3 1 -3 |
| 38.6 | 26.0 | 3 3 -1 |

Structure:
Cell lengths 11.8103, 8.6981, 8.9104 Å; angles 90.00, 114.79, 90.00 degrees
Space group C2 (No. 5)
Asymmetric unit:
V: 0.1242 0.0000 0.2904
V: 0.1242 0.4769 0.7905
Ag: 0.2499 0.4872 0.2507
P: 0.0000 0.1964 0.5000
P: 0.0000 0.2805 0.0000
P: 0.1112 0.6751 0.4653
P: 0.1112 0.8018 0.9653
O: 0.0000 0.7263 0.0000
O: 0.0000 0.7505 0.5000
O: 0.0544 0.5685 0.3160
O: 0.0543 0.9084 0.8160
O: 0.0698 0.1850 0.1566
O: 0.0697 0.2920 0.6565
O: 0.1002 0.0916 0.4801
O: 0.1002 0.3854 0.9801
O: 0.1842 0.6669 0.9430
O: 0.1843 0.8100 0.4433
O: 0.1883 0.5817 0.6256
O: 0.1883 0.8951 0.1255